(1)
Starting from the GGA-PBE geometry in Alexandria, the powder diffraction line list of CsAlAgF6 was calculated for Cu Kα, 1.54184 Å.

Peak list (10 most intense, 10° ≤ 2θ ≤ 80°, most intense first)
2θ 22.73, d = 3.913 Å, I 100.0, (1 1 -1); 2θ 23.06, d = 3.856 Å, I 95.4, (1 1 1); 2θ 23.43, d = 3.796 Å, I 94.1, (0 2 1); 2θ 43.60, d = 2.076 Å, I 48.6, (1 3 2); 2θ 32.26, d = 2.775 Å, I 39.1, (1 3 0); 2θ 31.05, d = 2.880 Å, I 27.3, (2 0 0); 2θ 47.20, d = 1.926 Å, I 26.4, (0 2 3); 2θ 28.25, d = 3.159 Å, I 26.3, (0 0 2); 2θ 42.08, d = 2.147 Å, I 24.4, (2 0 -2); 2θ 39.06, d = 2.306 Å, I 23.0, (2 2 -1)

Structural model:
```
data_CsAlAgF6
_chemical_formula_sum 'Cs2 Al2 Ag2 F12'
_symmetry_space_group_name_H-M 'C 1 2 1'
_symmetry_Int_Tables_number 5
_symmetry_space_group_name_Hall 'C 2y'
_cell_length_a 5.761
_cell_length_b 9.498
_cell_length_c 6.319
_cell_angle_alpha 90.00
_cell_angle_beta 91.00
_cell_angle_gamma 90.00
loop_
_atom_site_label
_atom_site_fract_x
_atom_site_fract_y
_atom_site_fract_z
Cs1 0.000 0.000 0.000
Al1 0.000 0.337 0.500
Ag1 0.000 0.673 0.500
F1 0.108 0.485 0.671
F2 0.126 0.216 0.684
F3 0.220 0.834 0.647
```

(2)
Starting from the GGA-PBE geometry in Alexandria, the powder diffraction line list of Nd12Dy3Hg was calculated for Cu Kα, 1.54184 Å.

Peak list (10 most intense, 10° ≤ 2θ ≤ 80°, most intense first)
2θ 30.31, d = 2.949 Å, I 100.0, (1 1 4); 2θ 35.32, d = 2.541 Å, I 33.5, (2 0 0); 2θ 60.31, d = 1.535 Å, I 28.4, (3 1 4); 2θ 50.40, d = 1.811 Å, I 23.9, (2 0 8); 2θ 34.77, d = 2.580 Å, I 17.1, (0 0 8); 2θ 59.59, d = 1.552 Å, I 14.1, (1 1 12); 2θ 63.04, d = 1.475 Å, I 12.2, (2 2 8); 2θ 50.81, d = 1.797 Å, I 12.0, (2 2 0); 2θ 74.70, d = 1.271 Å, I 3.8, (4 0 0); 2θ 73.39, d = 1.290 Å, I 1.8, (0 0 16)

Structural model:
```
data_Nd12Dy3Hg
_chemical_formula_sum 'Nd12 Dy3 Hg1'
_symmetry_space_group_name_H-M 'P 4/m m m'
_symmetry_Int_Tables_number 123
_symmetry_space_group_name_Hall '-P 4 2'
_cell_length_a 5.083
_cell_length_b 5.083
_cell_length_c 20.641
_cell_angle_alpha 90.00
_cell_angle_beta 90.00
_cell_angle_gamma 90.00
loop_
_atom_site_label
_atom_site_fract_x
_atom_site_fract_y
_atom_site_fract_z
Nd1 0.000 0.000 0.000
Nd2 0.000 0.000 0.245
Nd3 0.000 0.000 0.500
Nd4 0.000 0.500 0.121
Nd5 0.000 0.500 0.373
Dy1 0.500 0.500 0.247
Dy2 0.500 0.500 0.500
Hg1 0.500 0.500 0.000
```

(3)
Starting from the GGA-PBE geometry in Alexandria, the powder diffraction line list of Dy8Ho4Tm was calculated for Cu Kα, 1.54184 Å.

Peak list (10 most intense, 10° ≤ 2θ ≤ 80°, most intense first)
2θ 31.53, d = 2.838 Å, I 100.0, (0 2 4); 2θ 33.05, d = 2.710 Å, I 37.5, (2 0 5); 2θ 29.31, d = 3.047 Å, I 32.0, (0 0 9); 2θ 39.05, d = 2.307 Å, I 31.1, (2 0 8); 2θ 50.72, d = 1.800 Å, I 30.0, (2 2 0); 2θ 59.66, d = 1.550 Å, I 19.8, (2 2 9); 2θ 28.82, d = 3.097 Å, I 15.3, (0 2 1); 2θ 52.36, d = 1.747 Å, I 14.6, (0 2 13); 2θ 60.96, d = 1.520 Å, I 13.8, (4 0 4); 2θ 35.76, d = 2.511 Å, I 8.7, (1 0 10)

Structural model:
```
data_Dy8Ho4Tm
_chemical_formula_sum 'Dy24 Ho12 Tm3'
_symmetry_space_group_name_H-M 'R -3 m'
_symmetry_Int_Tables_number 166
_symmetry_space_group_name_Hall '-R 3 2"'
_cell_length_a 7.1992
_cell_length_b 7.1992
_cell_length_c 27.4307
_cell_angle_alpha 90.00
_cell_angle_beta 90.00
_cell_angle_gamma 120.00
loop_
_atom_site_label
_atom_site_fract_x
_atom_site_fract_y
_atom_site_fract_z
Dy1 0.0000 0.0000 0.2144
Dy2 0.0331 0.5165 0.7661
Ho1 0.0000 0.0000 0.0000
Ho2 0.0000 0.5000 0.0000
Tm1 0.0000 0.0000 0.5000
```

(4)
Starting from the GGA-PBE geometry in Alexandria, the powder diffraction line list of OsSe2Br12 was calculated for Cu Kα, 1.54184 Å.

Peak list (10 most intense, 10° ≤ 2θ ≤ 80°, most intense first)
2θ 14.63, d = 6.053 Å, I 100.0, (1 1 -1); 2θ 28.29, d = 3.155 Å, I 56.6, (1 3 1); 2θ 14.84, d = 5.969 Å, I 50.6, (0 2 0); 2θ 29.61, d = 3.017 Å, I 46.8, (3 3 -1); 2θ 21.02, d = 4.227 Å, I 33.8, (3 1 0); 2θ 44.92, d = 2.018 Å, I 30.7, (3 3 -3); 2θ 38.14, d = 2.359 Å, I 28.7, (5 3 -1); 2θ 29.93, d = 2.985 Å, I 28.5, (4 0 -2); 2θ 27.26, d = 3.271 Å, I 19.9, (0 0 2); 2θ 36.04, d = 2.492 Å, I 17.9, (3 3 1)

Structural model:
```
data_OsSe2Br12
_chemical_formula_sum 'Os2 Se4 Br24'
_symmetry_space_group_name_H-M 'C 1 2/m 1'
_symmetry_Int_Tables_number 12
_symmetry_space_group_name_Hall '-C 2y'
_cell_length_a 14.653
_cell_length_b 11.937
_cell_length_c 7.067
_cell_angle_alpha 90.00
_cell_angle_beta 112.22
_cell_angle_gamma 90.00
loop_
_atom_site_label
_atom_site_fract_x
_atom_site_fract_y
_atom_site_fract_z
Os1 0.000 0.000 0.000
Se1 0.229 0.500 0.740
Br1 0.102 0.145 0.241
Br2 0.124 0.000 0.836
Br3 0.138 0.347 0.802
Br4 0.160 0.500 0.371
```

(5)
Starting from the GGA-PBE geometry in Alexandria, the powder diffraction line list of BaPrS2 was calculated for Cu Kα, 1.54184 Å.

Peak list (10 most intense, 10° ≤ 2θ ≤ 80°, most intense first)
2θ 29.34, d = 3.045 Å, I 100.0, (1 0 4); 2θ 25.55, d = 3.486 Å, I 51.3, (0 1 2); 2θ 41.41, d = 2.181 Å, I 37.1, (0 1 8); 2θ 42.52, d = 2.126 Å, I 35.6, (1 1 0); 2θ 24.68, d = 3.608 Å, I 19.2, (0 0 6); 2θ 52.50, d = 1.743 Å, I 18.8, (0 2 4); 2θ 49.78, d = 1.832 Å, I 18.3, (1 1 6); 2θ 69.77, d = 1.348 Å, I 16.0, (2 1 4); 2θ 68.17, d = 1.376 Å, I 15.9, (1 1 12); 2θ 77.05, d = 1.238 Å, I 11.8, (1 2 8)

Structural model:
```
data_BaPrS2
_chemical_formula_sum 'Ba3 Pr3 S6'
_symmetry_space_group_name_H-M 'R -3 m'
_symmetry_Int_Tables_number 166
_symmetry_space_group_name_Hall '-R 3 2"'
_cell_length_a 4.2522
_cell_length_b 4.2522
_cell_length_c 21.6472
_cell_angle_alpha 90.00
_cell_angle_beta 90.00
_cell_angle_gamma 120.00
loop_
_atom_site_label
_atom_site_fract_x
_atom_site_fract_y
_atom_site_fract_z
Ba1 0.0000 0.0000 0.0000
Pr1 0.0000 0.0000 0.5000
S1 0.0000 0.0000 0.2410
```

(6)
Starting from the GGA-PBE geometry in Alexandria, the powder diffraction line list of Sm7Ho3Tm was calculated for Cu Kα, 1.54184 Å.

Peak list (10 most intense, 10° ≤ 2θ ≤ 80°, most intense first)
2θ 32.48, d = 2.757 Å, I 100.0, (2 2 1); 2θ 30.58, d = 2.924 Å, I 38.9, (2 0 -2); 2θ 55.56, d = 1.654 Å, I 21.9, (0 2 3); 2θ 31.83, d = 2.812 Å, I 18.6, (0 4 0); 2θ 24.99, d = 3.563 Å, I 17.0, (1 3 0); 2θ 44.72, d = 2.027 Å, I 14.6, (2 4 -2); 2θ 31.69, d = 2.823 Å, I 13.2, (4 0 0); 2θ 28.22, d = 3.162 Å, I 10.6, (4 0 -1); 2θ 44.62, d = 2.031 Å, I 10.3, (6 0 -2); 2θ 39.89, d = 2.260 Å, I 10.0, (3 3 -2)

Structural model:
```
data_Sm7Ho3Tm
_chemical_formula_sum 'Sm14 Ho6 Tm2'
_symmetry_space_group_name_H-M 'C 1 2/m 1'
_symmetry_Int_Tables_number 12
_symmetry_space_group_name_Hall '-C 2y'
_cell_length_a 12.713
_cell_length_b 11.247
_cell_length_c 5.847
_cell_angle_alpha 90.00
_cell_angle_beta 117.34
_cell_angle_gamma 90.00
loop_
_atom_site_label
_atom_site_fract_x
_atom_site_fract_y
_atom_site_fract_z
Sm1 0.000 0.000 0.000
Sm2 0.193 0.290 0.692
Sm3 0.210 0.500 0.208
Ho1 0.000 0.295 0.000
Ho2 0.000 0.500 0.500
Tm1 0.000 0.000 0.500
```

(7)
Starting from the GGA-PBE geometry in Alexandria, the powder diffraction line list of HfSb2AuF was calculated for Cu Kα, 1.54184 Å.

Peak list (10 most intense, 10° ≤ 2θ ≤ 80°, most intense first)
2θ 32.82, d = 2.728 Å, I 100.0, (1 1 1); 2θ 38.70, d = 2.327 Å, I 36.4, (2 0 0); 2θ 54.49, d = 1.684 Å, I 26.8, (2 0 2); 2θ 66.34, d = 1.409 Å, I 26.7, (3 1 1); 2θ 36.83, d = 2.440 Å, I 20.9, (0 0 2); 2θ 63.82, d = 1.458 Å, I 15.0, (1 1 3); 2θ 68.82, d = 1.364 Å, I 13.2, (2 2 2); 2θ 55.88, d = 1.645 Å, I 12.4, (2 2 0); 2θ 27.10, d = 3.291 Å, I 5.2, (1 1 0); 2θ 18.18, d = 4.881 Å, I 3.2, (0 0 1)

Structural model:
```
data_HfSb2AuF
_chemical_formula_sum 'Hf1 Sb2 Au1 F1'
_symmetry_space_group_name_H-M 'P 4/m m m'
_symmetry_Int_Tables_number 123
_symmetry_space_group_name_Hall '-P 4 2'
_cell_length_a 4.654
_cell_length_b 4.654
_cell_length_c 4.881
_cell_angle_alpha 90.00
_cell_angle_beta 90.00
_cell_angle_gamma 90.00
loop_
_atom_site_label
_atom_site_fract_x
_atom_site_fract_y
_atom_site_fract_z
Hf1 0.000 0.000 0.000
Sb1 0.000 0.500 0.500
Au1 0.500 0.500 0.000
F1 0.500 0.500 0.500
```

(8)
Starting from the GGA-PBE geometry in Alexandria, the powder diffraction line list of Pm2SnAu5 was calculated for Cu Kα, 1.54184 Å.

Peak list (10 most intense, 10° ≤ 2θ ≤ 80°, most intense first)
2θ 34.70, d = 2.585 Å, I 100.0, (2 0 2); 2θ 38.69, d = 2.327 Å, I 38.6, (2 2 0); 2θ 67.47, d = 1.388 Å, I 22.3, (4 2 2); 2θ 59.47, d = 1.554 Å, I 15.3, (2 2 4); 2θ 55.87, d = 1.646 Å, I 11.6, (4 0 0); 2θ 43.33, d = 2.088 Å, I 11.4, (0 0 4); 2θ 60.66, d = 1.527 Å, I 9.5, (3 2 3); 2θ 34.99, d = 2.564 Å, I 9.3, (1 0 3); 2θ 42.60, d = 2.122 Å, I 8.4, (3 0 1); 2θ 32.24, d = 2.776 Å, I 8.3, (2 1 1)

Structural model:
```
data_Pm2SnAu5
_chemical_formula_sum 'Pm4 Sn2 Au10'
_symmetry_space_group_name_H-M 'I 4 m m'
_symmetry_Int_Tables_number 107
_symmetry_space_group_name_Hall 'I 4 -2'
_cell_length_a 6.582
_cell_length_b 6.582
_cell_length_c 8.353
_cell_angle_alpha 90.00
_cell_angle_beta 90.00
_cell_angle_gamma 90.00
loop_
_atom_site_label
_atom_site_fract_x
_atom_site_fract_y
_atom_site_fract_z
Pm1 0.000 0.500 0.000
Sn1 0.000 0.000 0.073
Au1 0.000 0.000 0.466
Au2 0.222 0.222 0.750
```